Record 1
Calculated XRD peak list of LiNb2Te4Cl10O for Cu Kα (weighted mean of Kα1 and Kα2), from a DFT-relaxed cell (GGA-PBE, the Materials Project).
Kinematic intensities with the Lorentz-polarization factor, no thermal factor.

Most intense lines, 2θ from 10° to 90°, sorted by position:
d [Å]	Rel. int.
5.909	39
5.520	100
4.439	46
4.386	38
3.898	32
3.511	35
2.921	45
2.694	40

Structural model:
```
LiNb2Te4Cl10O
1.0
6.9671 0.0000 0.0000
2.3948 8.6517 0.0000
0.2403 1.4711 9.4641
Li Nb Te Cl O
1 2 4 10 1
Direct
0.0000 0.0000 0.0000
0.6036 0.5970 0.6860
0.6320 0.8709 0.9593
0.0212 0.0546 0.3586
0.2046 0.4319 0.3155
0.3095 0.1478 0.4887
0.9181 0.3390 0.1839
0.2759 0.7688 0.6197
0.3088 0.0530 0.9088
0.4589 0.4603 0.8692
0.5083 0.7368 0.1551
0.5807 0.4260 0.5250
0.6932 0.0635 0.1328
0.7330 0.7625 0.5151
0.7824 0.0392 0.7949
0.9267 0.4526 0.7586
0.9738 0.7274 0.0391
0.6166 0.7455 0.8310
```

---

Record 2
Calculated XRD peak list of BaTiGe3O9 for Cu Kα (weighted mean of Kα1 and Kα2), from a DFT-relaxed cell (GGA-PBE, the Materials Project).
Kinematic intensities with the Lorentz-polarization factor, no thermal factor.

Most intense lines, 2θ from 10° to 90°, sorted by position:
d [Å]	Rel. int.
3.897	100
3.280	29
2.998	46
2.869	85
2.564	19
1.948	29
1.642	21
1.582	17

Structural model:
```
BaTiGe3O9
1.0
6.9236 0.0000 0.0000
-3.4618 5.9960 0.0000
0.0000 0.0000 10.2553
Ba Ti Ge O
2 2 6 18
Direct
0.0000 0.0000 0.0000
0.0000 0.0000 0.5000
0.6667 0.3333 0.0000
0.6667 0.3333 0.5000
0.0344 0.4480 0.2500
0.0344 0.5864 0.7500
0.4136 0.4480 0.7500
0.4136 0.9656 0.2500
0.5520 0.5864 0.2500
0.5520 0.9656 0.7500
0.1305 0.3919 0.7500
0.1305 0.7387 0.2500
0.2613 0.3919 0.2500
0.2613 0.8695 0.7500
0.4213 0.1065 0.1069
0.4213 0.1065 0.3931
0.4213 0.3148 0.6069
0.4213 0.3148 0.8931
0.6081 0.7387 0.7500
0.6081 0.8695 0.2500
0.6852 0.1065 0.6069
0.6852 0.1065 0.8931
0.6852 0.5787 0.1069
0.6852 0.5787 0.3931
0.8935 0.3148 0.1069
0.8935 0.3148 0.3931
0.8935 0.5787 0.6069
0.8935 0.5787 0.8931
```

---

Record 3
Calculated XRD peak list of Na2PdO6 for Cu Kα (weighted mean of Kα1 and Kα2), from a DFT-relaxed cell (GGA-PBE, the Materials Project).
Kinematic intensities with the Lorentz-polarization factor, no thermal factor.

Most intense lines, 2θ from 10° to 90°, sorted by position:
d [Å]	Rel. int.
5.195	100
3.695	18
3.011	24
2.999	28
2.329	70
2.125	14
1.733	35
1.573	21

Structural model:
```
Na2PdO6
1.0
5.9985 0.0000 0.0000
-2.9992 5.1948 0.0000
0.0000 0.0000 3.6954
Na Pd O
2 1 6
Direct
0.3333 0.6667 0.0000
0.6667 0.3333 0.0000
0.0000 0.0000 0.0000
0.0000 0.2734 0.3036
0.0000 0.7266 0.6964
0.2734 0.0000 0.3036
0.2734 0.2734 0.6964
0.7266 0.0000 0.6964
0.7266 0.7266 0.3036
```

---

Record 4
Calculated XRD peak list of Zr2CrFe3 for Cu Kα (weighted mean of Kα1 and Kα2), from a DFT-relaxed cell (GGA-PBE, the Materials Project).
Kinematic intensities with the Lorentz-polarization factor, no thermal factor.

Most intense lines, 2θ from 10° to 90°, sorted by position:
d [Å]	Rel. int.
2.492	45
2.323	40
2.314	84
2.133	100
2.114	46
2.096	34
2.072	65
1.307	26

Structural model:
```
Zr2CrFe3
1.0
8.2526 0.0000 0.0000
0.0000 2.4623 4.3338
0.0000 -2.4623 4.3338
Zr Cr Fe
4 2 6
Direct
0.1852 0.0000 0.0000
0.3105 0.3323 0.3323
0.6895 0.3323 0.3323
0.8148 0.0000 0.0000
0.5000 0.3282 0.8375
0.5000 0.8375 0.3282
0.0000 0.0000 0.4996
0.0000 0.4996 0.0000
0.0000 0.5002 0.5002
0.2516 0.6673 0.6673
0.5000 0.8361 0.8361
0.7484 0.6673 0.6673
```